[1]
Starting from a crystal structure in Alexandria, relaxed with GGA-PBE, the powder X-ray diffraction pattern of Er3Ga6Au5 was computed for Cu Ka.
Kinematic intensities with the Lorentz-polarization factor, no thermal factor.

Structural model:
```
Er3Ga6Au5
1.0
4.336 0.000 0.000
0.000 12.819 0.000
0.000 0.000 9.746
Er Ga Au
6 12 10
direct
0.250 0.050 0.248
0.250 0.450 0.248
0.250 0.750 0.248
0.750 0.250 0.752
0.750 0.550 0.752
0.750 0.950 0.752
0.250 0.083 0.886
0.250 0.250 0.058
0.250 0.250 0.439
0.250 0.417 0.886
0.250 0.599 0.528
0.250 0.901 0.528
0.750 0.099 0.472
0.750 0.401 0.472
0.750 0.583 0.114
0.750 0.750 0.561
0.750 0.750 0.942
0.750 0.917 0.114
0.250 0.100 0.625
0.250 0.400 0.625
0.250 0.615 0.974
0.250 0.750 0.730
0.250 0.885 0.974
0.750 0.115 0.026
0.750 0.250 0.270
0.750 0.385 0.026
0.750 0.600 0.375
0.750 0.900 0.375
```

Principal peaks in the range 2θ from 10° to 90°, low angle first:
- 2θ = 29.3°, I = 158
- 2θ = 33.5°, I = 260
- 2θ = 34.5°, I = 245
- 2θ = 34.7°, I = 1000
- 2θ = 36.0°, I = 142
- 2θ = 37.3°, I = 211
- 2θ = 41.7°, I = 382
- 2θ = 42.3°, I = 179
- 2θ = 43.2°, I = 241
- 2θ = 54.4°, I = 161
- 2θ = 60.9°, I = 137
- 2θ = 67.5°, I = 210

[2]
Starting from a crystal structure in Alexandria, relaxed with GGA-PBE, the powder X-ray diffraction pattern of ErGa2Au3 was computed for Cu Ka.
Kinematic intensities with the Lorentz-polarization factor, no thermal factor.

Structural model:
```
ErGa2Au3
1.0
-2.201 3.876 6.921
2.201 -3.876 6.921
2.201 3.876 -6.921
Er Ga Au
2 4 6
direct
0.137 0.137 0.000
0.863 0.863 0.000
0.161 0.500 0.661
0.322 0.822 0.500
0.678 0.178 0.500
0.839 0.500 0.339
0.109 0.322 0.788
0.324 0.000 0.324
0.466 0.678 0.788
0.534 0.322 0.212
0.676 0.000 0.676
0.891 0.678 0.212
```

Principal peaks in the range 2θ from 10° to 90°, low angle first:
- 2θ = 22.9°, I = 133
- 2θ = 26.6°, I = 148
- 2θ = 28.0°, I = 210
- 2θ = 31.4°, I = 152
- 2θ = 34.9°, I = 224
- 2θ = 36.5°, I = 1000
- 2θ = 39.0°, I = 299
- 2θ = 41.0°, I = 360
- 2θ = 42.6°, I = 314
- 2θ = 57.9°, I = 190
- 2θ = 68.7°, I = 202
- 2θ = 71.7°, I = 142